Theoretical powder diffraction line list
Compound: Y7Ni2Te2
Radiation: a wavelength of 1.5418 Å
Structure: the GGA-PBE geometry in OQMD

Cell and atoms:
Cell: 3.8716 15.7091 9.6332 Å, 90.00 90.00 90.00°
Space group Imm2 (No. 44)
Unique sites:
Y 0.0000 0.0000 0.0000 (multiplicity 2)
Y 0.0000 0.1313 0.4180 (multiplicity 4)
Y 0.0000 0.3156 0.6194 (multiplicity 4)
Y 0.0000 0.3537 0.2679 (multiplicity 4)
Ni 0.0000 0.2385 0.9279 (multiplicity 4)
Te 0.0000 0.0000 0.6641 (multiplicity 2)
Te 0.0000 0.5000 0.7642 (multiplicity 2)

Peak list (6 most intense, 2θ from 15° to 90°, sorted by position)
(1 1 2), 30.2°, I = 38; (0 3 3), 32.7°, I = 65; (1 4 1), 33.8°, I = 100; (0 6 0), 34.3°, I = 62; (2 0 0), 46.9°, I = 26; (2 3 3), 58.4°, I = 30